No. 1
Simulated X-ray diffraction stick pattern of K3Pm2InO6 for λ = 1.5418 Å (Cu Kα), from a DFT-relaxed cell (PBE, Alexandria).

Top 12 peaks for 15° ≤ 2θ ≤ 90°, most intense first:
- 2θ = 35.00°, I 1000, hkl 1 3 1
- 2θ = 30.77°, I 693, hkl 2 0 0
- 2θ = 48.79°, I 332, hkl 2 0 2
- 2θ = 28.39°, I 317, hkl 0 0 2
- 2θ = 51.85°, I 312, hkl 3 3 -1
- 2θ = 29.63°, I 303, hkl 1 3 0
- 2θ = 60.16°, I 230, hkl 3 3 1
- 2θ = 54.00°, I 161, hkl 0 6 1
- 2θ = 64.09°, I 152, hkl 4 0 0
- 2θ = 86.86°, I 127, hkl 5 3 -3
- 2θ = 44.83°, I 116, hkl 1 3 2
- 2θ = 37.90°, I 114, hkl 1 3 -2

Cell and atoms:
Unit cell a=6.1078 b=10.5827 c=6.6064 alpha=90.00 beta=107.85 gamma=90.00
Space group C2/m (No. 12)
Asymmetric unit:
1 K 0.0000 0.0000 0.0000 (multiplicity 2)
2 K 0.0000 0.3378 0.0000 (multiplicity 4)
3 Pm 0.0000 0.1669 0.5000 (multiplicity 4)
4 In 0.0000 0.5000 0.5000 (multiplicity 2)
5 O 0.2244 0.3389 0.6907 (multiplicity 8)
6 O 0.2410 0.0000 0.6896 (multiplicity 4)

No. 2
Simulated X-ray diffraction stick pattern of KPuIn4O8 for λ = 1.5418 Å (Cu Kα), from a DFT-relaxed cell (PBE, Alexandria).

Top 12 peaks for 15° ≤ 2θ ≤ 90°, most intense first:
- 2θ = 31.52°, I 1000, hkl 0 2 1
- 2θ = 31.29°, I 992, hkl 1 1 3
- 2θ = 26.28°, I 888, hkl 1 0 4
- 2θ = 30.84°, I 660, hkl 0 1 5
- 2θ = 55.24°, I 463, hkl 2 2 0
- 2θ = 54.09°, I 443, hkl 2 0 8
- 2θ = 47.02°, I 372, hkl 2 1 4
- 2θ = 26.81°, I 361, hkl 1 1 0
- 2θ = 49.93°, I 354, hkl 1 2 5
- 2θ = 49.47°, I 282, hkl 0 2 7
- 2θ = 32.88°, I 267, hkl 2 0 2
- 2θ = 50.24°, I 260, hkl 0 3 3

Cell and atoms:
Unit cell a=6.6517 b=6.6517 c=16.7799 alpha=90.00 beta=90.00 gamma=120.00
Space group R3m (No. 160, hexagonal axes)
Asymmetric unit:
1 K 0.0000 0.0000 0.0000 (multiplicity 3)
2 Pu 0.0000 0.0000 0.3783 (multiplicity 3)
3 In 0.0000 0.0000 0.6149 (multiplicity 3)
4 In 0.0017 0.5009 0.4995 (multiplicity 9)
5 O 0.0000 0.0000 0.2385 (multiplicity 3)
6 O 0.0000 0.0000 0.7532 (multiplicity 3)
7 O 0.0051 0.5026 0.7661 (multiplicity 9)
8 O 0.1703 0.3406 0.5670 (multiplicity 9)

No. 3
Simulated X-ray diffraction stick pattern of KInTe2O6 for λ = 1.5418 Å (Cu Kα), from a DFT-relaxed cell (PBE, Alexandria).

Top 12 peaks for 15° ≤ 2θ ≤ 90°, most intense first:
- 2θ = 28.73°, I 1000, hkl 2 1 2
- 2θ = 30.45°, I 499, hkl 4 1 0
- 2θ = 24.37°, I 436, hkl 2 0 2
- 2θ = 26.90°, I 427, hkl 3 1 1
- 2θ = 30.22°, I 387, hkl 0 2 0
- 2θ = 35.16°, I 238, hkl 1 1 3
- 2θ = 19.94°, I 188, hkl 2 1 0
- 2θ = 52.77°, I 186, hkl 2 3 2
- 2θ = 55.97°, I 174, hkl 5 2 3
- 2θ = 59.13°, I 170, hkl 3 1 5
- 2θ = 45.93°, I 165, hkl 5 0 3
- 2θ = 19.31°, I 158, hkl 1 1 1

Cell and atoms:
Unit cell a=13.5250 b=5.9144 c=8.6796 alpha=90.00 beta=90.00 gamma=90.00
Space group Pnma (No. 62)
Asymmetric unit:
1 K 0.1220 0.2500 0.0034 (multiplicity 4)
2 In 0.0984 0.7500 0.7047 (multiplicity 4)
3 Te 0.0720 0.7500 0.2914 (multiplicity 4)
4 Te 0.1983 0.2500 0.4876 (multiplicity 4)
5 O 0.0020 0.5075 0.2013 (multiplicity 8)
6 O 0.0142 0.7500 0.4899 (multiplicity 4)
7 O 0.1649 0.7500 0.9356 (multiplicity 4)
8 O 0.2077 0.0038 0.6269 (multiplicity 8)

No. 4
Simulated X-ray diffraction stick pattern of K2InTe2O6 for λ = 1.5418 Å (Cu Kα), from a DFT-relaxed cell (PBE, Alexandria).

Top 12 peaks for 15° ≤ 2θ ≤ 90°, most intense first:
- 2θ = 30.98°, I 1000, hkl 1 1 -2
- 2θ = 19.07°, I 776, hkl 2 0 0
- 2θ = 26.08°, I 655, hkl 0 2 0
- 2θ = 30.20°, I 510, hkl 3 1 -1
- 2θ = 49.19°, I 391, hkl 1 3 -2
- 2θ = 28.33°, I 315, hkl 2 0 1
- 2θ = 38.89°, I 293, hkl 2 2 1
- 2θ = 35.90°, I 221, hkl 3 1 -2
- 2θ = 47.47°, I 174, hkl 5 1 -1
- 2θ = 30.13°, I 158, hkl 0 0 2
- 2θ = 32.51°, I 142, hkl 2 2 0
- 2θ = 61.80°, I 139, hkl 5 3 -1

Cell and atoms:
Unit cell a=9.9910 b=6.8327 c=6.3762 alpha=90.00 beta=111.29 gamma=90.00
Space group C2/m (No. 12)
Asymmetric unit:
1 K 0.1797 0.0000 0.1186 (multiplicity 4)
2 In 0.0000 0.0000 0.5000 (multiplicity 2)
3 Te 0.0420 0.5000 0.2754 (multiplicity 4)
4 O 0.0089 0.2119 0.7526 (multiplicity 8)
5 O 0.2437 0.5000 0.3772 (multiplicity 4)

No. 5
Simulated X-ray diffraction stick pattern of K2TlInO4 for λ = 1.5418 Å (Cu Kα), from a DFT-relaxed cell (PBE, Alexandria).

Top 12 peaks for 15° ≤ 2θ ≤ 90°, most intense first:
- 2θ = 35.89°, I 1000, hkl 1 1 1
- 2θ = 31.61°, I 746, hkl 2 0 0
- 2θ = 30.45°, I 377, hkl 1 1 0
- 2θ = 28.89°, I 343, hkl 0 0 2
- 2θ = 49.89°, I 341, hkl 2 0 2
- 2θ = 53.38°, I 308, hkl 0 2 0
- 2θ = 45.89°, I 196, hkl 2 0 -3
- 2θ = 55.57°, I 187, hkl 0 2 1
- 2θ = 61.87°, I 163, hkl 3 1 -3
- 2θ = 58.68°, I 161, hkl 2 0 -4
- 2θ = 38.83°, I 155, hkl 2 0 1
- 2θ = 63.37°, I 133, hkl 4 0 -2

Cell and atoms:
Unit cell a=5.9490 b=3.4304 c=6.4873 alpha=90.00 beta=107.68 gamma=90.00
Space group P2/m (No. 10)
Asymmetric unit:
1 K 0.0000 0.0000 0.0000 (multiplicity 1)
2 K 0.5000 0.5000 0.0000 (multiplicity 1)
3 Tl 0.0000 0.5000 0.5000 (multiplicity 1)
4 In 0.5000 0.0000 0.5000 (multiplicity 1)
5 O 0.2422 0.0000 0.6931 (multiplicity 2)
6 O 0.2800 0.5000 0.3103 (multiplicity 2)

No. 6
Simulated X-ray diffraction stick pattern of K2TmInO4 for λ = 1.5418 Å (Cu Kα), from a DFT-relaxed cell (PBE, Alexandria).

Top 12 peaks for 15° ≤ 2θ ≤ 90°, most intense first:
- 2θ = 36.20°, I 1000, hkl 1 1 1
- 2θ = 31.93°, I 711, hkl 1 1 -1
- 2θ = 28.62°, I 532, hkl 0 0 2
- 2θ = 36.05°, I 510, hkl 2 0 -2
- 2θ = 30.86°, I 481, hkl 2 0 -1
- 2θ = 54.17°, I 453, hkl 0 2 0
- 2θ = 32.08°, I 353, hkl 2 0 0
- 2θ = 49.76°, I 344, hkl 1 1 -3
- 2θ = 46.02°, I 187, hkl 1 1 2
- 2θ = 56.23°, I 168, hkl 0 2 1
- 2θ = 50.08°, I 166, hkl 2 0 2
- 2θ = 58.61°, I 165, hkl 1 1 3

Cell and atoms:
Unit cell a=5.8594 b=3.3900 c=6.5496 alpha=90.00 beta=107.77 gamma=90.00
Space group P2/m (No. 10)
Asymmetric unit:
1 K 0.0000 0.0000 0.0000 (multiplicity 1)
2 K 0.5000 0.5000 0.0000 (multiplicity 1)
3 Tm 0.0000 0.5000 0.5000 (multiplicity 1)
4 In 0.5000 0.0000 0.5000 (multiplicity 1)
5 O 0.2256 0.0000 0.6870 (multiplicity 2)
6 O 0.2732 0.5000 0.3139 (multiplicity 2)

No. 7
Simulated X-ray diffraction stick pattern of K4Tm3InO8 for λ = 1.5418 Å (Cu Kα), from a DFT-relaxed cell (PBE, Alexandria).

Top 12 peaks for 15° ≤ 2θ ≤ 90°, most intense first:
- 2θ = 36.01°, I 1000, hkl 0 2 4
- 2θ = 31.83°, I 739, hkl 2 0 2
- 2θ = 28.60°, I 364, hkl 0 0 6
- 2θ = 30.71°, I 362, hkl 0 2 1
- 2θ = 49.74°, I 340, hkl 2 0 8
- 2θ = 53.88°, I 305, hkl 2 2 0
- 2θ = 62.13°, I 247, hkl 2 2 6
- 2θ = 45.80°, I 202, hkl 0 2 7
- 2θ = 56.02°, I 186, hkl 2 2 3
- 2θ = 58.38°, I 171, hkl 0 2 10
- 2θ = 66.52°, I 150, hkl 4 0 4
- 2θ = 38.88°, I 146, hkl 2 0 5

Cell and atoms:
Unit cell a=6.8061 b=6.8061 c=18.7292 alpha=90.00 beta=90.00 gamma=120.00
Space group R-3m (No. 166, hexagonal axes)
Asymmetric unit:
1 K 0.0000 0.0000 0.0000 (multiplicity 3)
2 K 0.0000 0.5000 0.0000 (multiplicity 9)
3 Tm 0.0000 0.5000 0.5000 (multiplicity 9)
4 In 0.0000 0.0000 0.5000 (multiplicity 3)
5 O 0.0000 0.0000 0.2273 (multiplicity 6)
6 O 0.0010 0.5005 0.7713 (multiplicity 18)